Calculated powder diffractogram of Nd3F8 for Cu Kα X-rays, from a DFT-relaxed cell (PBE, Alexandria).
Kinematic intensities with the Lorentz-polarization factor, no thermal factor.

Largest 10 diffraction maxima, in order of falling intensity, 15 to 90 degrees two-theta:
| hkl | d [Å] | Rel. int. |
| --- | --- | --- |
| 1 1 1 | 3.316 | 100 |
| 2 2 0 | 2.031 | 67 |
| 3 1 1 | 1.732 | 47 |
| 1 0 0 | 5.744 | 41 |
| 1 1 0 | 4.062 | 27 |
| 2 0 0 | 2.872 | 21 |
| 4 2 2 | 1.172 | 19 |
| 3 3 1 | 1.318 | 18 |
| 3 3 3 | 1.105 | 15 |
| 2 1 1 | 2.345 | 13 |

Cell and atoms:
Cell lengths 5.7439, 5.7439, 5.7439 Å; angles 90.00, 90.00, 90.00 degrees
Fractional coordinates of all 11 atoms:
Nd 0.0000 0.0000 0.5000
Nd 0.0000 0.5000 0.0000
Nd 0.5000 0.0000 0.0000
F 0.2309 0.2309 0.2309
F 0.2309 0.2309 0.7691
F 0.2309 0.7691 0.2309
F 0.2309 0.7691 0.7691
F 0.7691 0.2309 0.2309
F 0.7691 0.2309 0.7691
F 0.7691 0.7691 0.2309
F 0.7691 0.7691 0.7691